Record 1
Nd5Si3: computed X-ray powder pattern (Cu Kα, 1.54184 Å), based on a cell relaxed with PBE.
Neutral-atom scattering factors, no anomalous dispersion.

The 6 most intense peaks (10° ≤ 2θ ≤ 80°), in order of rising 2θ:
h k l, d [Å], I_rel
1 1 1, 3.670, 48
1 0 2, 3.053, 53
2 1 0, 2.878, 52
1 1 2, 2.656, 97
2 1 1, 2.642, 100
3 0 0, 2.538, 42

Crystal structure
Cell: 8.7926 8.7926 6.6653 Å, 90.00 90.00 120.00°
Space group P6_3/mcm (No. 193)
Inequivalent atoms, fractional coordinates:
Nd 0.0000 0.2446 0.2500 x6
Nd 0.3333 0.6667 0.0000 x4
Si 0.0000 0.3939 0.7500 x6

=====

Record 2
Nd3Si: computed X-ray powder pattern (Cu Kα, 1.54184 Å), based on a cell relaxed with PBE.
Neutral-atom scattering factors, no anomalous dispersion.

The 6 most intense peaks (10° ≤ 2θ ≤ 80°), in order of rising 2θ:
h k l, d [Å], I_rel
1 0 1, 3.920, 29
2 0 0, 3.050, 25
2 0 1, 2.620, 100
0 0 2, 2.558, 22
2 2 0, 1.761, 18
2 2 2, 1.450, 19

Crystal structure
Cell: 7.0433 7.0433 5.1163 Å, 90.00 90.00 120.00°
Space group P6_3/mmc (No. 194)
Inequivalent atoms, fractional coordinates:
Nd 0.1803 0.3607 0.2500 x6
Si 0.3333 0.6667 0.7500 x2

=====

Record 3
Nd4Si5: computed X-ray powder pattern (Cu Kα, 1.54184 Å), based on a cell relaxed with PBE.
Neutral-atom scattering factors, no anomalous dispersion.

The 6 most intense peaks (10° ≤ 2θ ≤ 80°), in order of rising 2θ:
h k l, d [Å], I_rel
0 1 1, 4.248, 20
1 0 4, 3.338, 41
0 0 8, 3.124, 17
0 1 7, 2.749, 100
1 1 11, 1.791, 17
2 1 7, 1.604, 15

Crystal structure
Cell: 3.9483 4.3104 24.9951 Å, 90.00 90.00 90.00°
Space group Amm2 (No. 38)
Inequivalent atoms, fractional coordinates:
Nd 0.0000 0.0000 0.0000 x2
Nd 0.0000 0.0000 0.2712 x2
Nd 0.5000 0.0000 0.1309 x2
Nd 0.5000 0.0000 0.4033 x2
Si 0.0000 0.0000 0.5881 x2
Si 0.0000 0.0000 0.6824 x2
Si 0.0000 0.0000 0.8716 x2
Si 0.5000 0.0000 0.5302 x2
Si 0.5000 0.0000 0.8127 x2

=====

Record 4
NdSi: computed X-ray powder pattern (Cu Kα, 1.54184 Å), based on a cell relaxed with PBE.
Neutral-atom scattering factors, no anomalous dispersion.

The 6 most intense peaks (10° ≤ 2θ ≤ 80°), in order of rising 2θ:
h k l, d [Å], I_rel
1 1 1, 3.051, 100
2 1 0, 2.853, 73
1 0 2, 2.788, 82
2 1 1, 2.570, 43
3 0 1, 2.497, 49
1 1 2, 2.277, 40

Crystal structure
Cell: 8.2620 3.9450 5.9242 Å, 90.00 90.00 90.00°
Space group Pnma (No. 62)
Inequivalent atoms, fractional coordinates:
Nd 0.1796 0.2500 0.1137 x4
Si 0.0353 0.2500 0.6220 x4

=====

Record 5
Nd5Si4: computed X-ray powder pattern (Cu Kα, 1.54184 Å), based on a cell relaxed with PBE.
Neutral-atom scattering factors, no anomalous dispersion.

The 6 most intense peaks (10° ≤ 2θ ≤ 80°), in order of rising 2θ:
h k l, d [Å], I_rel
2 0 3, 3.109, 34
2 1 3, 2.893, 73
2 2 1, 2.745, 100
1 1 5, 2.661, 46
3 0 2, 2.486, 45
3 1 6, 1.774, 40

Crystal structure
Cell: 7.8945 7.8945 15.1374 Å, 90.00 90.00 90.00°
Space group P4_12_12 (No. 92)
Inequivalent atoms, fractional coordinates:
Nd 0.0114 0.3773 0.0518 x8
Nd 0.0188 0.8728 0.1240 x8
Nd 0.1914 0.8086 0.7500 x4
Si 0.0774 0.7122 0.9403 x8
Si 0.1694 0.1943 0.7988 x8

=====

Record 6
NdSi2: computed X-ray powder pattern (Cu Kα, 1.54184 Å), based on a cell relaxed with PBE.
Neutral-atom scattering factors, no anomalous dispersion.

The 6 most intense peaks (10° ≤ 2θ ≤ 80°), in order of rising 2θ:
h k l, d [Å], I_rel
1 0 1, 4.010, 38
1 0 3, 3.135, 51
1 1 2, 2.729, 100
1 0 5, 2.351, 41
2 0 0, 2.090, 31
2 1 5, 1.562, 23

Crystal structure
Cell: 4.1803 4.1803 14.2146 Å, 90.00 90.00 90.00°
Space group I4_1/amd (No. 141, origin choice 2)
Inequivalent atoms, fractional coordinates:
Nd 0.0000 0.2500 0.3750 x4
Si 0.0000 0.2500 0.7913 x8

=====

Record 7
NdZn2Si2: computed X-ray powder pattern (Cu Kα, 1.54184 Å), based on a cell relaxed with PBE.
Neutral-atom scattering factors, no anomalous dispersion.

The 6 most intense peaks (10° ≤ 2θ ≤ 80°), in order of rising 2θ:
h k l, d [Å], I_rel
1 0 1, 3.838, 31
1 0 3, 2.722, 40
1 1 2, 2.561, 100
2 0 0, 2.050, 35
2 0 4, 1.638, 33
3 1 2, 1.261, 20

Crystal structure
Cell: 4.0999 4.0999 10.9230 Å, 90.00 90.00 90.00°
Space group I4/mmm (No. 139)
Inequivalent atoms, fractional coordinates:
Nd 0.0000 0.0000 0.0000 x2
Zn 0.0000 0.5000 0.2500 x4
Si 0.0000 0.0000 0.3896 x4

=====

Record 8
Nd3Sm: computed X-ray powder pattern (Cu Kα, 1.54184 Å), based on a cell relaxed with PBE.
Neutral-atom scattering factors, no anomalous dispersion.

The 6 most intense peaks (10° ≤ 2θ ≤ 80°), in order of rising 2θ:
h k l, d [Å], I_rel
2 0 0, 3.183, 23
0 0 2, 3.026, 27
2 0 1, 2.817, 100
2 2 0, 1.838, 19
2 0 3, 1.704, 23
2 2 2, 1.571, 23

Crystal structure
Cell: 7.3515 7.3515 6.0525 Å, 90.00 90.00 120.00°
Space group P6_3/mmc (No. 194)
Inequivalent atoms, fractional coordinates:
Nd 0.1668 0.3336 0.2500 x6
Sm 0.3333 0.6667 0.7500 x2